Record 1
Computed powder diffractogram of Pu2Ga3Au17 for a wavelength of 1.5418 Å, from a cell relaxed with PBE.
Intensities are scaled so that the largest is 100.

Atomic structure:
abc: 7.7981 7.7981 8.0918
angles: 101.80 101.80 95.90
Element x y z (fractional)
1 Pu 0.1342 0.1342 0.4302
2 Pu 0.8658 0.8658 0.5698
3 Ga 0.0000 0.0000 0.0000
4 Ga 0.0000 0.5000 0.5000
5 Ga 0.5000 0.0000 0.5000
6 Au 0.0000 0.5000 0.0000
7 Au 0.1464 0.7193 0.3264
8 Au 0.1782 0.1782 0.8308
9 Au 0.2178 0.7822 0.0000
10 Au 0.2741 0.5098 0.7427
11 Au 0.2807 0.8536 0.6736
12 Au 0.2967 0.2967 0.1892
13 Au 0.4902 0.7259 0.2573
14 Au 0.5000 0.0000 0.0000
15 Au 0.5000 0.5000 0.5000
16 Au 0.5098 0.2741 0.7427
17 Au 0.7033 0.7033 0.8108
18 Au 0.7193 0.1464 0.3264
19 Au 0.7259 0.4902 0.2573
20 Au 0.7822 0.2178 0.0000
21 Au 0.8218 0.8218 0.1692
22 Au 0.8536 0.2807 0.6736

Main lines, in order of rising 2θ (10° ≤ 2θ ≤ 90°):
Position (°2θ)  intensity
30.89  66.4
36.00  68.3
36.53  86.2
37.01  100.0
37.97  64.2
38.34  95.5

---

Record 2
Computed powder diffractogram of Pu2Ga6Au for a wavelength of 1.5418 Å, from a cell relaxed with PBE.
Intensities are scaled so that the largest is 100.

Atomic structure:
abc: 6.0196 6.0196 5.5861
angles: 90.00 90.00 120.00
Element x y z (fractional)
1 Pu 0.3333 0.6667 0.3263
2 Pu 0.6667 0.3333 0.6737
3 Ga 0.1806 0.3613 0.8241
4 Ga 0.1806 0.8194 0.8241
5 Ga 0.3613 0.1806 0.1759
6 Ga 0.6387 0.8194 0.8241
7 Ga 0.8194 0.1806 0.1759
8 Ga 0.8194 0.6387 0.1759
9 Au 0.0000 0.0000 0.5000

Main lines, in order of rising 2θ (10° ≤ 2θ ≤ 90°):
Position (°2θ)  intensity
23.34  36.5
29.68  52.4
33.83  60.9
36.50  67.5
38.10  100.0
61.63  27.4

---

Record 3
Computed powder diffractogram of Pu2Ga5Au for a wavelength of 1.5418 Å, from a cell relaxed with PBE.
Intensities are scaled so that the largest is 100.

Atomic structure:
abc: 4.3257 8.7020 9.0759
angles: 90.06 90.01 104.35
Element x y z (fractional)
1 Pu 0.0000 0.0000 0.0000
2 Pu 0.0000 0.0000 0.5000
3 Pu 0.2025 0.4046 0.2452
4 Pu 0.7975 0.5954 0.7548
5 Ga 0.1874 0.3750 0.8892
6 Ga 0.1940 0.3877 0.6005
7 Ga 0.3512 0.7029 0.9776
8 Ga 0.3539 0.7085 0.5243
9 Ga 0.4054 0.8111 0.2517
10 Ga 0.5946 0.1889 0.7483
11 Ga 0.6461 0.2915 0.4757
12 Ga 0.6488 0.2971 0.0224
13 Ga 0.8060 0.6123 0.3995
14 Ga 0.8126 0.6250 0.1108
15 Au 0.4436 0.8888 0.7526
16 Au 0.5564 0.1112 0.2474

Main lines, in order of rising 2θ (10° ≤ 2θ ≤ 90°):
Position (°2θ)  intensity
29.01  43.7
32.74  100.0
33.70  68.1
37.65  21.5
39.73  35.4
41.76  38.4

---

Record 4
Computed powder diffractogram of Pu2Zn6GaAu for a wavelength of 1.5418 Å, from a cell relaxed with PBE.
Intensities are scaled so that the largest is 100.

Atomic structure:
abc: 12.0689 12.0689 12.0689
angles: 30.85 30.85 30.85
Element x y z (fractional)
1 Pu 0.1086 0.1086 0.1086
2 Pu 0.2815 0.2815 0.2815
3 Pu 0.7185 0.7185 0.7185
4 Pu 0.8914 0.8914 0.8914
5 Zn 0.0591 0.6690 0.6690
6 Zn 0.2313 0.2313 0.6324
7 Zn 0.2313 0.6324 0.2313
8 Zn 0.3310 0.3310 0.9409
9 Zn 0.3310 0.9409 0.3310
10 Zn 0.3676 0.7687 0.7687
11 Zn 0.6324 0.2313 0.2313
12 Zn 0.6690 0.0591 0.6690
13 Zn 0.6690 0.6690 0.0591
14 Zn 0.7687 0.3676 0.7687
15 Zn 0.7687 0.7687 0.3676
16 Zn 0.9409 0.3310 0.3310
17 Ga 0.4247 0.4247 0.4247
18 Ga 0.5753 0.5753 0.5753
19 Au 0.0000 0.0000 0.0000
20 Au 0.5000 0.5000 0.5000

Main lines, in order of rising 2θ (10° ≤ 2θ ≤ 90°):
Position (°2θ)  intensity
27.79  100.0
30.52  46.9
34.80  52.5
37.14  39.8
41.75  28.9
55.90  40.6

---

Record 5
Computed powder diffractogram of PuZnGaAu2 for a wavelength of 1.5418 Å, from a cell relaxed with PBE.
Intensities are scaled so that the largest is 100.

Atomic structure:
abc: 7.2266 7.2266 5.7312
angles: 90.00 90.00 134.47
Element x y z (fractional)
1 Pu 0.2500 0.7500 0.7829
2 Pu 0.7500 0.2500 0.2171
3 Zn 0.2500 0.2500 0.5000
4 Zn 0.7500 0.7500 0.5000
5 Ga 0.0000 0.0000 0.0000
6 Ga 0.5000 0.5000 0.0000
7 Au 0.1462 0.8538 0.2930
8 Au 0.3538 0.6462 0.2930
9 Au 0.6462 0.3538 0.7070
10 Au 0.8538 0.1462 0.7070

Main lines, in order of rising 2θ (10° ≤ 2θ ≤ 90°):
Position (°2θ)  intensity
13.29  34.1
30.05  81.2
32.00  49.8
34.06  42.7
40.67  100.0
45.31  29.7

---

Record 6
Computed powder diffractogram of RbGa4Au6 for a wavelength of 1.5418 Å, from a cell relaxed with PBE.
Intensities are scaled so that the largest is 100.

Atomic structure:
abc: 6.8524 6.8549 6.9070
angles: 116.69 116.82 93.57
Element x y z (fractional)
1 Rb 0.0000 0.0000 0.0000
2 Ga 0.1132 0.5031 0.9545
3 Ga 0.4665 0.4682 0.5900
4 Ga 0.5060 0.1174 0.9612
5 Ga 0.8550 0.8548 0.3856
6 Au 0.0031 0.5219 0.5014
7 Au 0.2057 0.2044 0.6403
8 Au 0.4523 0.7665 0.9872
9 Au 0.5230 0.5257 0.2849
10 Au 0.5245 0.0059 0.5026
11 Au 0.7656 0.4530 0.9871

Main lines, in order of rising 2θ (10° ≤ 2θ ≤ 90°):
Position (°2θ)  intensity
15.35  62.0
15.66  70.9
26.06  61.1
30.97  100.0
38.88  73.5
39.05  85.2

---

Record 7
Computed powder diffractogram of RbGa4Au9 for a wavelength of 1.5418 Å, from a cell relaxed with PBE.
Intensities are scaled so that the largest is 100.

Atomic structure:
abc: 9.2042 9.2042 9.2042
angles: 117.34 117.34 94.68
Element x y z (fractional)
1 Rb 0.2500 0.2500 0.0000
2 Rb 0.7500 0.7500 0.0000
3 Ga 0.0795 0.5795 0.8864
4 Ga 0.1931 0.0795 0.5000
5 Ga 0.3069 0.8069 0.8864
6 Ga 0.4205 0.3069 0.5000
7 Ga 0.5795 0.6931 0.5000
8 Ga 0.6931 0.1931 0.1136
9 Ga 0.8069 0.9205 0.5000
10 Ga 0.9205 0.4205 0.1136
11 Au 0.0000 0.5000 0.5000
12 Au 0.0259 0.2052 0.2311
13 Au 0.0625 0.8186 0.5000
14 Au 0.1814 0.6814 0.2439
15 Au 0.2052 0.9741 0.1793
16 Au 0.2948 0.4741 0.7689
17 Au 0.3186 0.5625 0.5000
18 Au 0.4375 0.9375 0.7561
19 Au 0.4741 0.7052 0.1793
20 Au 0.5000 0.0000 0.5000
21 Au 0.5259 0.2948 0.8207
22 Au 0.5625 0.0625 0.2439
23 Au 0.6814 0.4375 0.5000
24 Au 0.7052 0.5259 0.2311
25 Au 0.7948 0.0259 0.8207
26 Au 0.8186 0.3186 0.7561
27 Au 0.9375 0.1814 0.5000
28 Au 0.9741 0.7948 0.7689

Main lines, in order of rising 2θ (10° ≤ 2θ ≤ 90°):
Position (°2θ)  intensity
13.08  29.2
30.00  42.4
32.89  84.8
39.96  36.2
40.34  100.0
41.91  47.3

---

Record 8
Computed powder diffractogram of Rb3Ga2Au5 for a wavelength of 1.5418 Å, from a cell relaxed with PBE.
Intensities are scaled so that the largest is 100.

Atomic structure:
abc: 9.8840 9.8840 9.8840
angles: 121.20 76.31 135.94
Element x y z (fractional)
1 Rb 0.1208 0.7365 0.8573
2 Rb 0.2500 0.2500 0.0000
3 Rb 0.3792 0.2364 0.6156
4 Rb 0.6208 0.7635 0.3844
5 Rb 0.7500 0.7500 0.0000
6 Rb 0.8792 0.2636 0.1427
7 Ga 0.1753 0.1252 0.3005
8 Ga 0.3247 0.6252 0.9500
9 Ga 0.6753 0.3748 0.0500
10 Ga 0.8247 0.8748 0.6995
11 Au 0.0068 0.7500 0.2568
12 Au 0.1136 0.3645 0.4781
13 Au 0.2500 0.7500 0.5000
14 Au 0.3864 0.8645 0.2509
15 Au 0.4932 0.7500 0.7432
16 Au 0.5068 0.2500 0.2568
17 Au 0.6136 0.1355 0.7491
18 Au 0.7500 0.2500 0.5000
19 Au 0.8864 0.6355 0.5219
20 Au 0.9932 0.2500 0.7432

Main lines, in order of rising 2θ (10° ≤ 2θ ≤ 90°):
Position (°2θ)  intensity
10.75  66.7
29.45  68.7
30.34  64.9
32.32  29.6
33.40  100.0
44.65  36.9

---

Record 9
Computed powder diffractogram of Rb2GaAu2 for a wavelength of 1.5418 Å, from a cell relaxed with PBE.
Intensities are scaled so that the largest is 100.

Atomic structure:
abc: 10.2223 8.2015 8.4195
angles: 90.00 103.64 90.00
Element x y z (fractional)
1 Rb 0.0810 0.2227 0.0313
2 Rb 0.0810 0.2773 0.5313
3 Rb 0.3176 0.5958 0.9376
4 Rb 0.3176 0.9042 0.4376
5 Rb 0.6824 0.0958 0.5624
6 Rb 0.6824 0.4042 0.0624
7 Rb 0.9190 0.7227 0.4687
8 Rb 0.9190 0.7773 0.9687
9 Ga 0.4078 0.0834 0.8613
10 Ga 0.4078 0.4166 0.3613
11 Ga 0.5922 0.5834 0.6387
12 Ga 0.5922 0.9166 0.1387
13 Au 0.1651 0.5552 0.2705
14 Au 0.1651 0.9448 0.7705
15 Au 0.4384 0.1751 0.1708
16 Au 0.4384 0.3249 0.6708
17 Au 0.5616 0.6751 0.3292
18 Au 0.5616 0.8249 0.8292
19 Au 0.8349 0.0552 0.2295
20 Au 0.8349 0.4448 0.7295

Main lines, in order of rising 2θ (10° ≤ 2θ ≤ 90°):
Position (°2θ)  intensity
16.38  74.9
24.30  100.0
25.49  99.9
29.08  75.6
30.46  68.9
30.68  81.3

---

Record 10
Computed powder diffractogram of Rb3Ga2Au2 for a wavelength of 1.5418 Å, from a cell relaxed with PBE.
Intensities are scaled so that the largest is 100.

Atomic structure:
abc: 10.1093 10.1093 10.1093
angles: 152.37 148.11 42.69
Element x y z (fractional)
1 Rb 0.0000 0.0000 0.0000
2 Rb 0.1913 0.6913 0.5000
3 Rb 0.8087 0.3087 0.5000
4 Ga 0.4302 0.4302 0.0000
5 Ga 0.5698 0.5698 0.0000
6 Au 0.3812 0.8812 0.5000
7 Au 0.6188 0.1188 0.5000

Main lines, in order of rising 2θ (10° ≤ 2θ ≤ 90°):
Position (°2θ)  intensity
16.64  59.0
26.23  44.0
28.64  100.0
31.04  68.4
32.23  53.1
47.65  49.2

---

Record 11
Computed powder diffractogram of Rb2GaSiAu6 for a wavelength of 1.5418 Å, from a cell relaxed with PBE.
Intensities are scaled so that the largest is 100.

Atomic structure:
abc: 7.0697 7.0697 6.9855
angles: 119.52 119.52 57.42
Element x y z (fractional)
1 Rb 0.0000 0.0000 0.0000
2 Rb 0.5687 0.5687 0.5688
3 Ga 0.3669 0.3669 0.8674
4 Si 0.8654 0.8654 0.3660
5 Au 0.0721 0.4972 0.0779
6 Au 0.0723 0.4972 0.4924
7 Au 0.1049 0.1049 0.6039
8 Au 0.4972 0.0721 0.0779
9 Au 0.4972 0.0723 0.4924
10 Au 0.6119 0.6119 0.1117

Main lines, in order of rising 2θ (10° ≤ 2θ ≤ 90°):
Position (°2θ)  intensity
17.29  45.3
30.97  100.0
31.60  99.6
36.92  93.7
39.71  49.6
44.25  27.3

---

Record 12
Computed powder diffractogram of RbGaSnAu for a wavelength of 1.5418 Å, from a cell relaxed with PBE.
Intensities are scaled so that the largest is 100.

Atomic structure:
abc: 4.4530 4.4530 7.6787
angles: 106.76 106.76 60.00
Element x y z (fractional)
1 Rb 0.0000 0.0000 0.0000
2 Ga 0.2165 0.2165 0.6497
3 Sn 0.7960 0.7960 0.3866
4 Au 0.5190 0.5190 0.5567

Main lines, in order of rising 2θ (10° ≤ 2θ ≤ 90°):
Position (°2θ)  intensity
12.22  84.1
28.39  100.0
37.19  33.4
40.52  62.4
42.48  26.0
48.04  21.2